[1]
# RbTa3S5
Simulated powder XRD pattern, a wavelength of 1.5418 Å. Input: the PBE geometry in OQMD.

Atomic structure:
```
RbTa3S5
1.0
5.719 0.000 0.000
-2.859 4.952 0.000
0.000 0.000 7.508
Rb Ta S
1 3 5
Cartesian
0.000 0.000 0.000
-1.430 2.476 3.754
2.859 0.000 3.754
1.430 2.476 3.754
0.000 0.000 3.754
0.000 3.302 1.867
0.000 3.302 5.641
2.859 1.651 1.867
2.859 1.651 5.641
```

Most intense lines, 10 to 90 degrees two-theta, by angle:
| 2theta | Rel. int. |
| --- | --- |
| 11.79 | 100 |
| 21.49 | 35 |
| 23.70 | 24 |
| 33.54 | 12 |
| 36.28 | 31 |
| 38.27 | 36 |
| 43.80 | 54 |
| 51.95 | 15 |
| 62.04 | 13 |
| 65.26 | 10 |

[2]
# Rb2TbTmS4
Simulated powder XRD pattern, a wavelength of 1.5418 Å. Input: the PBE geometry in OQMD.

Atomic structure:
```
Rb2TbTmS4
1.0
4.050 0.000 0.000
-2.025 3.507 0.000
0.000 0.000 15.348
Rb Tb Tm S
2 1 1 4
Cartesian
0.000 2.338 3.815
2.025 1.169 11.533
0.000 0.000 7.674
0.000 0.000 0.000
0.000 2.338 9.170
0.000 2.338 13.903
2.025 1.169 1.445
2.025 1.169 6.178
```

Most intense lines, 10 to 90 degrees two-theta, by angle:
| 2theta | Rel. int. |
| --- | --- |
| 11.53 | 35 |
| 23.18 | 28 |
| 27.97 | 100 |
| 30.91 | 36 |
| 34.65 | 31 |
| 43.80 | 43 |
| 44.75 | 36 |
| 50.99 | 21 |
| 53.61 | 17 |
| 67.22 | 14 |